(1)
Simulated powder XRD pattern of Ag14Sn2Te9 for Cu Ka, from a cell relaxed with PBE.
Lines closer than 0.1° are merged.

Top 10 peaks for 2θ from 10° to 90°, sorted by position:
- 22.2 deg, I 32.2, hkl -1 1 1
- 23.6 deg, I 33.2, hkl 2 1 1
- 24.4 deg, I 58.2, hkl 0 0 3
- 32.4 deg, I 30.5, hkl 2 3 0
- 32.7 deg, I 26.5, hkl -1 1 3
- 33.9 deg, I 45.2, hkl 0 3 0
- 38.5 deg, I 100.0, hkl 2 1 4
- 38.8 deg, I 30.7, hkl 3 0 1
- 38.9 deg, I 62.3, hkl 3 3 0
- 39.7 deg, I 59.8, hkl 1 2 -4

Atomic structure:
```
Ag14Sn2Te9
1.0
7.8045 0.0000 0.0000
3.8125 7.9238 0.0000
0.9475 -0.0619 10.9575
Ag Sn Te
14 2 9
Cartesian
0.7745 1.1783 0.4806
2.8133 3.4304 8.1122
1.4973 0.6975 6.2976
3.0696 2.7207 4.8421
4.6462 4.3661 0.8184
4.1480 1.4722 9.8166
5.2047 4.0489 6.5484
7.3598 3.8129 4.4092
8.4165 6.3897 1.1409
7.9183 3.4957 10.1392
9.4950 5.1412 6.1154
11.0673 7.1643 4.6599
9.7513 4.4315 2.8454
11.7901 6.6836 10.4769
7.0289 6.3071 7.6604
5.5356 1.5547 3.2972
1.9063 3.9619 0.0000
3.9214 6.4353 7.5411
4.7360 4.7597 3.6485
6.9232 6.5863 10.6677
4.2999 1.2595 6.9922
8.2647 6.6023 3.9654
5.6413 1.2756 0.2898
7.8286 3.1021 7.3091
8.6432 1.4266 3.4165
```

(2)
Simulated powder XRD pattern of CaNdPtPb for Cu Ka, from a cell relaxed with PBE.
Lines closer than 0.1° are merged.

Top 10 peaks for 2θ from 10° to 90°, sorted by position:
- 10.8 deg, I 12.9, hkl 0 0 1
- 21.8 deg, I 13.4, hkl 0 0 2
- 24.7 deg, I 14.3, hkl 1 0 0
- 33.1 deg, I 100.0, hkl 1 0 2
- 35.2 deg, I 46.5, hkl 1 1 0
- 41.7 deg, I 10.7, hkl 1 1 2
- 50.6 deg, I 16.7, hkl 2 0 0
- 51.4 deg, I 10.5, hkl 1 0 4
- 57.9 deg, I 15.9, hkl 1 1 4
- 61.8 deg, I 33.7, hkl 2 1 2

Atomic structure:
```
CaNdPtPb
1.0
3.6099 0.0000 0.0000
0.0000 3.6099 0.0000
0.0000 0.0000 8.1626
Ca Nd Pt Pb
1 1 1 1
Cartesian
0.0000 0.0000 0.0000
0.0000 0.0000 4.6992
1.8050 1.8050 6.3188
1.8050 1.8050 2.2887
```

(3)
Simulated powder XRD pattern of Bi2Pb7 for Cu Ka, from a cell relaxed with PBE.
Lines closer than 0.1° are merged.

Top 10 peaks for 2θ from 10° to 90°, sorted by position:
- 30.6 deg, I 100.0, hkl 1 1 1
- 31.6 deg, I 30.6, hkl 0 0 3
- 35.7 deg, I 66.7, hkl 2 -1 2
- 50.7 deg, I 25.2, hkl 3 0 0
- 52.1 deg, I 23.2, hkl 1 1 4
- 60.4 deg, I 15.1, hkl 4 -2 1
- 61.0 deg, I 29.3, hkl 3 0 3
- 62.2 deg, I 13.8, hkl 2 -1 5
- 63.6 deg, I 13.0, hkl 2 2 2
- 82.7 deg, I 13.0, hkl 4 1 1

Atomic structure:
```
Bi2Pb7
1.0
6.2339 0.0000 0.0000
-3.1170 5.3987 0.0000
0.0000 0.0000 8.4925
Bi Pb
2 7
Cartesian
0.0000 3.5992 0.0000
3.1170 1.7996 0.0000
0.0000 0.0000 0.0000
-1.0391 1.7997 5.6767
-2.0779 3.5990 2.8158
2.0781 0.0000 5.6767
1.0391 1.7997 2.8158
4.1558 0.0000 2.8158
2.0779 3.5990 5.6767
```